No. 1
SrMgSn2Au4: calculated powder diffractogram (Cu Kα (weighted mean of Kα1 and Kα2)), based on a structure optimized by DFT (GGA-PBE).
No peak broadening, texture or thermal motion is included.

Crystal structure
Cell lengths 9.863, 9.863, 9.863 Å; angles 27.79, 27.79, 27.79 degrees
Positions (direct):
1 Sr 0.000 0.000 0.000
2 Mg 0.500 0.500 0.500
3 Sn 0.244 0.244 0.244
4 Sn 0.756 0.756 0.756
5 Au 0.141 0.141 0.141
6 Au 0.398 0.398 0.398
7 Au 0.602 0.602 0.602
8 Au 0.859 0.859 0.859

Top 10 peaks for 2θ = 5–70°, low angle first:
| 2θ/deg | I/Imax |
| --- | --- |
| 9.33 | 20 |
| 25.06 | 24 |
| 26.80 | 28 |
| 30.98 | 31 |
| 33.36 | 63 |
| 37.99 | 100 |
| 41.29 | 28 |
| 47.09 | 19 |
| 51.44 | 19 |
| 65.70 | 18 |

***

No. 2
ReTcIr: calculated powder diffractogram (Cu Kα (weighted mean of Kα1 and Kα2)), based on a structure optimized by DFT (GGA-PBE).
No peak broadening, texture or thermal motion is included.

Crystal structure
Cell lengths 4.366, 4.812, 4.812 Å; angles 59.91, 90.00, 90.00 degrees
Positions (direct):
1 Re 0.250 0.166 0.834
2 Re 0.750 0.834 0.166
3 Tc 0.250 0.501 0.170
4 Tc 0.750 0.170 0.501
5 Ir 0.250 0.835 0.503
6 Ir 0.750 0.503 0.835

Top 10 peaks for 2θ = 5–70°, low angle first:
| 2θ/deg | I/Imax |
| --- | --- |
| 21.32 | 6 |
| 29.65 | 6 |
| 37.39 | 24 |
| 41.36 | 25 |
| 42.93 | 100 |
| 46.99 | 2 |
| 56.97 | 15 |
| 62.71 | 2 |
| 67.38 | 6 |
| 67.49 | 12 |

***

No. 3
Y2MgSi2Ru5: calculated powder diffractogram (Cu Kα (weighted mean of Kα1 and Kα2)), based on a structure optimized by DFT (GGA-PBE).
No peak broadening, texture or thermal motion is included.

Crystal structure
Cell lengths 10.003, 10.003, 3.306 Å; angles 90.00, 90.00, 90.00 degrees
Positions (direct):
1 Y 0.173 0.327 0.000
2 Y 0.327 0.827 0.000
3 Y 0.673 0.173 0.000
4 Y 0.827 0.673 0.000
5 Mg 0.000 0.000 0.000
6 Mg 0.500 0.500 0.000
7 Si 0.128 0.628 0.000
8 Si 0.372 0.128 0.000
9 Si 0.628 0.872 0.000
10 Si 0.872 0.372 0.000
11 Ru 0.000 0.500 0.500
12 Ru 0.069 0.788 0.500
13 Ru 0.212 0.069 0.500
14 Ru 0.288 0.569 0.500
15 Ru 0.431 0.288 0.500
16 Ru 0.500 0.000 0.500
17 Ru 0.569 0.712 0.500
18 Ru 0.712 0.431 0.500
19 Ru 0.788 0.931 0.500
20 Ru 0.931 0.212 0.500

Top 10 peaks for 2θ = 5–70°, low angle first:
| 2θ/deg | I/Imax |
| --- | --- |
| 33.71 | 52 |
| 37.06 | 83 |
| 37.23 | 22 |
| 38.17 | 28 |
| 39.43 | 100 |
| 40.32 | 28 |
| 42.54 | 46 |
| 45.48 | 21 |
| 55.61 | 22 |
| 68.72 | 26 |

***

No. 4
Rb2CrAuCl6: calculated powder diffractogram (Cu Kα (weighted mean of Kα1 and Kα2)), based on a structure optimized by DFT (GGA-PBE).
No peak broadening, texture or thermal motion is included.

Crystal structure
Cell lengths 7.138, 7.138, 7.138 Å; angles 113.94, 113.94, 100.86 degrees
Positions (direct):
1 Rb 0.250 0.750 0.500
2 Rb 0.750 0.250 0.500
3 Cr 0.000 0.000 0.000
4 Au 0.500 0.500 0.000
5 Cl 0.216 0.216 0.431
6 Cl 0.216 0.784 0.000
7 Cl 0.251 0.251 0.000
8 Cl 0.749 0.749 0.000
9 Cl 0.784 0.216 0.000
10 Cl 0.784 0.784 0.569

Top 10 peaks for 2θ = 5–70°, low angle first:
| 2θ/deg | I/Imax |
| --- | --- |
| 14.98 | 29 |
| 16.11 | 30 |
| 22.86 | 67 |
| 25.41 | 100 |
| 27.44 | 38 |
| 32.55 | 79 |
| 39.64 | 24 |
| 41.74 | 48 |
| 46.69 | 25 |
| 52.19 | 39 |